The following is a calculated XRD peak list of Li7Ni5O12. It was derived from a PBE+U-relaxed structure, using CuKα.
Intensities are scaled so that the largest is 100.

```
data_Li7Ni5O12
_cell_length_a 4.9385
_cell_length_b 8.6130
_cell_length_c 9.6362
_cell_angle_alpha 90.00
_cell_angle_beta 99.95
_cell_angle_gamma 90.00
_symmetry_space_group_name_H-M 'C 1 2 1'
_symmetry_Int_Tables_number 5
loop_
_symmetry_equiv_pos_as_xyz
'x,y,z'
'-x,y,-z'
'x+1/2,y+1/2,z'
'-x+1/2,y+1/2,-z'
loop_
_atom_site_label
_atom_site_type_symbol
_atom_site_fract_x
_atom_site_fract_y
_atom_site_fract_z
_atom_site_occupancy
Li1 Li 0.0000 0.0000 0.0000 1
Li2 Li 0.2431 0.0043 0.7537 1
Li3 Li 0.2445 0.8340 0.2468 1
Li4 Li 0.2450 0.1630 0.2471 1
Ni1 Ni 0.0000 0.1632 0.5000 1
Ni2 Ni 0.0000 0.3335 0.0000 1
Ni3 Ni 0.0000 0.4994 0.5000 1
Ni4 Ni 0.0000 0.6668 0.0000 1
Ni5 Ni 0.0000 0.8288 0.5000 1
O1 O 0.1025 0.4998 0.8893 1
O2 O 0.1134 0.0065 0.3842 1
O3 O 0.1411 0.3192 0.3914 1
O4 O 0.1422 0.1807 0.8912 1
O5 O 0.1424 0.8198 0.8900 1
O6 O 0.1507 0.6683 0.3843 1
```

Peak list (10 most intense, 15 to 90 degrees two-theta, in order of rising 2θ)
2θ = 18.70°, I = 100, hkl 0 0 2; 2θ = 36.75°, I = 27, hkl 1 3 -1; 2θ = 36.96°, I = 12, hkl 2 0 0; 2θ = 44.48°, I = 52, hkl 1 3 -3; 2θ = 44.71°, I = 25, hkl 2 0 2; 2θ = 48.72°, I = 13, hkl 2 0 -4; 2θ = 58.66°, I = 10, hkl 1 3 -5; 2θ = 64.46°, I = 21, hkl 2 0 -6; 2θ = 65.34°, I = 14, hkl 3 3 -1; 2θ = 68.63°, I = 9, hkl 3 3 1